This entry pairs a crystal structure of Cs3Rb11 with its computed powder XRD pattern. Radiation: Cu Kα (λ = 1.5418 Å). Structure: the GGA-PBE geometry in Alexandria.
Peak positions follow from Bragg's law for the DFT cell and can differ from measured ones.

Structural model:
```
data_Cs3Rb11
_chemical_formula_sum 'Cs6 Rb22'
_space_group_name_H-M_alt 'I m m m'
_space_group_IT_number 71
_space_group_name_Hall '-I 2 2'
_cell_length_a 7.8075
_cell_length_b 18.3600
_cell_length_c 18.9950
_cell_angle_alpha 90.00
_cell_angle_beta 90.00
_cell_angle_gamma 90.00
loop_
_atom_site_label
_atom_site_fract_x
_atom_site_fract_y
_atom_site_fract_z
Cs1 0.0000 0.0000 0.0000
Cs2 0.0000 0.0000 0.2815
Rb1 0.0000 0.1512 0.5000
Rb2 0.0000 0.2719 0.1441
Rb3 0.0000 0.3751 0.3702
Rb4 0.0000 0.5000 0.0000
```

The 6 most intense peaks (5 to 70 degrees two-theta), low angle first:
d [Å]	2θ (°)	I (rel.)	index
4.335	20.49	100	1 2 3
4.218	21.06	37	0 2 4
3.962	22.44	58	1 1 4
3.904	22.78	67	2 0 0
3.874	22.96	76	1 4 1
2.238	40.30	47	1 4 7